# 1
Pr6DyIn4: calculated X-ray powder pattern (CuKα), based on a structure optimized by DFT (PBE).
Intensities are scaled so that the largest is 100.

The 12 most intense peaks (10 to 80 degrees two-theta), sorted by position:
2θ = 26.0°, intensity 37
2θ = 26.7°, intensity 66
2θ = 29.4°, intensity 17
2θ = 31.7°, intensity 30
2θ = 33.4°, intensity 100
2θ = 34.5°, intensity 33
2θ = 35.6°, intensity 21
2θ = 43.8°, intensity 27
2θ = 47.5°, intensity 14
2θ = 50.5°, intensity 13
2θ = 52.4°, intensity 24
2θ = 60.1°, intensity 15

Structural model:
Cell lengths 8.2986, 8.2986, 8.2986 Å; angles 122.49, 122.49, 85.74 degrees
Atoms (fractional coordinates):
Pr 0.0000 0.5000 0.5000
Pr 0.0290 0.0290 0.6208
Pr 0.4082 0.4082 0.3792
Pr 0.5000 0.0000 0.5000
Pr 0.5918 0.9710 0.0000
Pr 0.9710 0.5918 0.0000
Dy 0.5000 0.5000 0.0000
In 0.0933 0.0933 0.3180
In 0.2248 0.9067 0.0000
In 0.7752 0.7752 0.6820
In 0.9067 0.2248 0.0000


# 2
CaCe4N5: calculated X-ray powder pattern (CuKα), based on a structure optimized by DFT (PBE).
Intensities are scaled so that the largest is 100.

The 12 most intense peaks (10 to 80 degrees two-theta), sorted by position:
2θ = 18.4°, intensity 6
2θ = 23.2°, intensity 4
2θ = 30.7°, intensity 100
2θ = 35.5°, intensity 54
2θ = 35.8°, intensity 26
2θ = 51.1°, intensity 18
2θ = 51.3°, intensity 36
2θ = 60.8°, intensity 30
2θ = 61.2°, intensity 15
2θ = 64.0°, intensity 18
2θ = 75.2°, intensity 5
2θ = 75.9°, intensity 3

Structural model:
Cell lengths 9.4452, 9.4452, 9.4452 Å; angles 158.19, 149.19, 38.07 degrees
Atoms (fractional coordinates):
Ca 0.0000 0.0000 0.0000
Ce 0.1992 0.1992 0.0000
Ce 0.4014 0.4014 0.0000
Ce 0.5986 0.5986 0.0000
Ce 0.8008 0.8008 0.0000
N 0.1073 0.6073 0.5000
N 0.3039 0.8039 0.5000
N 0.5000 0.0000 0.5000
N 0.6961 0.1961 0.5000
N 0.8927 0.3927 0.5000


# 3
CaTa2In: calculated X-ray powder pattern (CuKα), based on a structure optimized by DFT (PBE).
Intensities are scaled so that the largest is 100.

The 12 most intense peaks (10 to 80 degrees two-theta), sorted by position:
2θ = 18.5°, intensity 44
2θ = 33.3°, intensity 36
2θ = 34.4°, intensity 23
2θ = 36.8°, intensity 100
2θ = 38.1°, intensity 15
2θ = 46.7°, intensity 13
2θ = 48.6°, intensity 18
2θ = 51.5°, intensity 13
2θ = 61.8°, intensity 22
2θ = 63.2°, intensity 10
2θ = 67.8°, intensity 9
2θ = 78.3°, intensity 9

Structural model:
Cell lengths 6.0894, 6.0894, 6.0894 Å; angles 149.35, 127.51, 62.02 degrees
Atoms (fractional coordinates):
Ca 0.0000 0.0000 0.0000
Ta 0.5194 0.5194 0.0000
Ta 0.7235 0.2235 0.5000
In 0.2745 0.7745 0.5000


# 4
Na3Bi2SbTe6: calculated X-ray powder pattern (CuKα), based on a structure optimized by DFT (PBE).
Intensities are scaled so that the largest is 100.

The 12 most intense peaks (10 to 80 degrees two-theta), sorted by position:
2θ = 11.6°, intensity 38
2θ = 23.3°, intensity 16
2θ = 27.8°, intensity 100
2θ = 35.9°, intensity 11
2θ = 39.1°, intensity 39
2θ = 40.3°, intensity 37
2θ = 42.0°, intensity 10
2θ = 49.6°, intensity 26
2θ = 57.3°, intensity 13
2θ = 64.0°, intensity 17
2θ = 65.7°, intensity 20
2θ = 72.4°, intensity 13

Structural model:
Cell lengths 7.7607, 7.7607, 8.0735 Å; angles 99.22, 99.22, 120.02 degrees
Atoms (fractional coordinates):
Na 0.0000 0.0000 0.0000
Na 0.3311 0.6689 0.0000
Na 0.6689 0.3311 0.0000
Bi 0.1662 0.8338 0.5000
Bi 0.8338 0.1662 0.5000
Sb 0.5000 0.5000 0.5000
Te 0.0947 0.4218 0.2654
Te 0.2512 0.2512 0.7348
Te 0.4218 0.0947 0.2654
Te 0.5782 0.9053 0.7346
Te 0.7488 0.7488 0.2652
Te 0.9053 0.5782 0.7346


# 5
AcTmOsO6: calculated X-ray powder pattern (CuKα), based on a structure optimized by DFT (PBE).
Intensities are scaled so that the largest is 100.

The 12 most intense peaks (10 to 80 degrees two-theta), sorted by position:
2θ = 25.1°, intensity 100
2θ = 32.5°, intensity 45
2θ = 33.8°, intensity 11
2θ = 41.5°, intensity 26
2θ = 47.6°, intensity 43
2θ = 53.7°, intensity 26
2θ = 55.5°, intensity 11
2θ = 58.0°, intensity 13
2θ = 68.8°, intensity 11
2θ = 73.8°, intensity 10
2θ = 75.3°, intensity 10
2θ = 78.2°, intensity 10

Structural model:
Cell lengths 5.5126, 5.5126, 5.2966 Å; angles 90.00, 90.00, 120.00 degrees
Atoms (fractional coordinates):
Ac 0.0000 0.0000 0.0000
Tm 0.6667 0.3333 0.5000
Os 0.3333 0.6667 0.5000
O 0.0362 0.3824 0.2900
O 0.0362 0.6538 0.7100
O 0.3462 0.3824 0.7100
O 0.3462 0.9638 0.2900
O 0.6176 0.6538 0.2900
O 0.6176 0.9638 0.7100


# 6
La6ErTh3: calculated X-ray powder pattern (CuKα), based on a structure optimized by DFT (PBE).
Intensities are scaled so that the largest is 100.

The 12 most intense peaks (10 to 80 degrees two-theta), sorted by position:
2θ = 17.5°, intensity 20
2θ = 27.9°, intensity 38
2θ = 30.6°, intensity 100
2θ = 35.5°, intensity 16
2θ = 39.9°, intensity 20
2θ = 41.9°, intensity 12
2θ = 47.6°, intensity 20
2θ = 52.8°, intensity 12
2θ = 54.4°, intensity 31
2θ = 63.8°, intensity 17
2θ = 66.7°, intensity 11
2θ = 72.4°, intensity 13

Structural model:
Cell lengths 7.1498, 7.1498, 7.1498 Å; angles 90.02, 90.02, 90.02 degrees
Atoms (fractional coordinates):
La 0.0001 0.3236 0.6763
La 0.1753 0.8227 0.4969
La 0.3236 0.6763 0.0001
La 0.4969 0.1753 0.8227
La 0.6763 0.0001 0.3236
La 0.8227 0.4969 0.1753
Er 0.7485 0.7485 0.7485
Th 0.2487 0.2487 0.2487
Th 0.4993 0.4993 0.4993
Th 0.9969 0.9969 0.9969


# 7
MgTi2Zn6: calculated X-ray powder pattern (CuKα), based on a structure optimized by DFT (PBE).
Intensities are scaled so that the largest is 100.

The 12 most intense peaks (10 to 80 degrees two-theta), sorted by position:
2θ = 15.7°, intensity 20
2θ = 26.6°, intensity 32
2θ = 31.7°, intensity 22
2θ = 34.7°, intensity 15
2θ = 36.3°, intensity 68
2θ = 38.8°, intensity 99
2θ = 40.7°, intensity 100
2θ = 41.4°, intensity 46
2θ = 44.4°, intensity 61
2θ = 49.3°, intensity 39
2θ = 53.6°, intensity 32
2θ = 62.3°, intensity 26

Structural model:
Cell lengths 6.2511, 6.2511, 4.0802 Å; angles 90.00, 90.00, 115.27 degrees
Atoms (fractional coordinates):
Mg 0.0000 0.0000 0.0000
Ti 0.2193 0.7807 0.5000
Ti 0.7807 0.2193 0.5000
Zn 0.1718 0.4606 0.0000
Zn 0.2873 0.2873 0.5000
Zn 0.4606 0.1718 0.0000
Zn 0.5394 0.8282 0.0000
Zn 0.7127 0.7127 0.5000
Zn 0.8282 0.5394 0.0000


# 8
PmPrBr6: calculated X-ray powder pattern (CuKα), based on a structure optimized by DFT (PBE).
Intensities are scaled so that the largest is 100.

The 12 most intense peaks (10 to 80 degrees two-theta), sorted by position:
2θ = 13.3°, intensity 70
2θ = 16.7°, intensity 67
2θ = 21.6°, intensity 23
2θ = 28.8°, intensity 100
2θ = 30.9°, intensity 44
2θ = 37.5°, intensity 28
2θ = 39.8°, intensity 17
2θ = 40.7°, intensity 16
2θ = 41.8°, intensity 19
2θ = 42.8°, intensity 67
2θ = 51.2°, intensity 16
2θ = 52.0°, intensity 17

Structural model:
Cell lengths 7.5639, 7.5639, 7.2375 Å; angles 97.78, 97.78, 122.99 degrees
Atoms (fractional coordinates):
Pm 0.0000 0.0000 0.0000
Pr 0.5000 0.5000 0.5000
Br 0.0990 0.3939 0.2468
Br 0.2486 0.2486 0.7521
Br 0.3939 0.0990 0.2468
Br 0.6061 0.9010 0.7532
Br 0.7514 0.7514 0.2479
Br 0.9010 0.6061 0.7532


# 9
PPd2Pt: calculated X-ray powder pattern (CuKα), based on a structure optimized by DFT (PBE).
Intensities are scaled so that the largest is 100.

The 12 most intense peaks (10 to 80 degrees two-theta), sorted by position:
2θ = 32.4°, intensity 55
2θ = 36.6°, intensity 33
2θ = 37.2°, intensity 71
2θ = 38.4°, intensity 100
2θ = 38.7°, intensity 93
2θ = 39.0°, intensity 74
2θ = 42.5°, intensity 30
2θ = 50.3°, intensity 25
2θ = 58.5°, intensity 31
2θ = 70.2°, intensity 36
2θ = 71.4°, intensity 30
2θ = 71.6°, intensity 23

Structural model:
Cell lengths 5.7686, 7.7255, 5.4308 Å; angles 90.00, 90.00, 90.00 degrees
Atoms (fractional coordinates):
P 0.1136 0.2500 0.0328
P 0.3864 0.7500 0.5328
P 0.6136 0.2500 0.4672
P 0.8864 0.7500 0.9672
Pd 0.1782 0.5642 0.8253
Pd 0.1782 0.9358 0.8253
Pd 0.3218 0.0642 0.3253
Pd 0.3218 0.4358 0.3253
Pd 0.6782 0.5642 0.6747
Pd 0.6782 0.9358 0.6747
Pd 0.8218 0.0642 0.1747
Pd 0.8218 0.4358 0.1747
Pt 0.0186 0.7500 0.3679
Pt 0.4814 0.2500 0.8679
Pt 0.5186 0.7500 0.1321
Pt 0.9814 0.2500 0.6321


# 10
NiBRh: calculated X-ray powder pattern (CuKα), based on a structure optimized by DFT (PBE).
Intensities are scaled so that the largest is 100.

The 12 most intense peaks (10 to 80 degrees two-theta), sorted by position:
2θ = 25.8°, intensity 7
2θ = 31.6°, intensity 33
2θ = 31.7°, intensity 11
2θ = 41.2°, intensity 100
2θ = 45.4°, intensity 19
2θ = 49.1°, intensity 25
2θ = 53.1°, intensity 14
2θ = 56.3°, intensity 23
2θ = 63.1°, intensity 9
2θ = 72.1°, intensity 7
2θ = 75.0°, intensity 8
2θ = 75.2°, intensity 13

Structural model:
Cell lengths 5.6666, 5.6666, 3.4508 Å; angles 90.00, 90.00, 120.00 degrees
Atoms (fractional coordinates):
Ni 0.0000 0.3889 0.0000
Ni 0.3889 0.0000 0.0000
Ni 0.6111 0.6111 0.0000
B 0.0000 0.0000 0.0000
B 0.3333 0.6667 0.5000
B 0.6667 0.3333 0.5000
Rh 0.0000 0.7238 0.5000
Rh 0.2762 0.2762 0.5000
Rh 0.7238 0.0000 0.5000


# 11
ErAsPd4: calculated X-ray powder pattern (CuKα), based on a structure optimized by DFT (PBE).
Intensities are scaled so that the largest is 100.

The 12 most intense peaks (10 to 80 degrees two-theta), sorted by position:
2θ = 25.4°, intensity 51
2θ = 31.5°, intensity 9
2θ = 33.9°, intensity 14
2θ = 37.2°, intensity 11
2θ = 40.4°, intensity 100
2θ = 43.7°, intensity 12
2θ = 45.2°, intensity 42
2θ = 52.5°, intensity 14
2θ = 59.9°, intensity 11
2θ = 65.8°, intensity 13
2θ = 70.0°, intensity 12
2θ = 73.4°, intensity 10

Structural model:
Cell lengths 4.0139, 4.0139, 7.2441 Å; angles 90.00, 90.00, 90.00 degrees
Atoms (fractional coordinates):
Er 0.0000 0.0000 0.0000
As 0.5000 0.5000 0.5000
Pd 0.0000 0.5000 0.2872
Pd 0.0000 0.5000 0.7128
Pd 0.5000 0.0000 0.2872
Pd 0.5000 0.0000 0.7128


# 12
TbPm3Y7: calculated X-ray powder pattern (CuKα), based on a structure optimized by DFT (PBE).
Intensities are scaled so that the largest is 100.

The 12 most intense peaks (10 to 80 degrees two-theta), sorted by position:
2θ = 18.5°, intensity 20
2θ = 18.6°, intensity 25
2θ = 31.0°, intensity 20
2θ = 31.4°, intensity 26
2θ = 31.7°, intensity 100
2θ = 31.9°, intensity 65
2θ = 32.2°, intensity 87
2θ = 32.4°, intensity 73
2θ = 45.8°, intensity 24
2θ = 46.1°, intensity 19
2θ = 57.1°, intensity 19
2θ = 57.9°, intensity 17

Structural model:
Cell lengths 6.9494, 5.5620, 10.1047 Å; angles 90.00, 109.22, 90.00 degrees
Atoms (fractional coordinates):
Tb 0.0000 0.0000 0.0000
Pm 0.2192 0.5000 0.5037
Pm 0.5000 0.0000 0.0000
Pm 0.7808 0.5000 0.4963
Y 0.0768 0.0000 0.6708
Y 0.1819 0.5000 0.8647
Y 0.3515 0.5000 0.2124
Y 0.5000 0.0000 0.5000
Y 0.6485 0.5000 0.7876
Y 0.8181 0.5000 0.1353
Y 0.9232 0.0000 0.3292


Repeat the sixth record exactly.
La6ErTh3: calculated X-ray powder pattern (CuKα), based on a structure optimized by DFT (PBE).
Intensities are scaled so that the largest is 100.

The 12 most intense peaks (10 to 80 degrees two-theta), sorted by position:
2θ = 17.5°, intensity 20
2θ = 27.9°, intensity 38
2θ = 30.6°, intensity 100
2θ = 35.5°, intensity 16
2θ = 39.9°, intensity 20
2θ = 41.9°, intensity 12
2θ = 47.6°, intensity 20
2θ = 52.8°, intensity 12
2θ = 54.4°, intensity 31
2θ = 63.8°, intensity 17
2θ = 66.7°, intensity 11
2θ = 72.4°, intensity 13

Structural model:
Cell lengths 7.1498, 7.1498, 7.1498 Å; angles 90.02, 90.02, 90.02 degrees
Atoms (fractional coordinates):
La 0.0001 0.3236 0.6763
La 0.1753 0.8227 0.4969
La 0.3236 0.6763 0.0001
La 0.4969 0.1753 0.8227
La 0.6763 0.0001 0.3236
La 0.8227 0.4969 0.1753
Er 0.7485 0.7485 0.7485
Th 0.2487 0.2487 0.2487
Th 0.4993 0.4993 0.4993
Th 0.9969 0.9969 0.9969